Entry 1:
Structure and simulated powder XRD pattern of Li2Fe3P5O18 (the GGA+U geometry in the Materials Project; Cu Kα, 1.54184 Å).
Lines closer than 0.1° are merged.

Structure:
abc: 13.071 13.071 12.570
angles: 91.73 91.73 21.79
Fractional coordinates of all 56 atoms:
Li 0.013 0.317 0.364
Li 0.317 0.013 0.864
Li 0.683 0.987 0.136
Li 0.987 0.683 0.636
Fe 0.000 0.000 0.000
Fe 0.000 0.000 0.500
Fe 0.224 0.379 0.379
Fe 0.379 0.224 0.879
Fe 0.621 0.776 0.121
Fe 0.776 0.621 0.621
P 0.200 0.348 0.128
P 0.230 0.770 0.250
P 0.348 0.200 0.628
P 0.430 0.433 0.408
P 0.433 0.430 0.908
P 0.567 0.570 0.092
P 0.570 0.567 0.592
P 0.652 0.800 0.372
P 0.770 0.230 0.750
P 0.800 0.652 0.872
O 0.052 0.897 0.157
O 0.103 0.948 0.343
O 0.116 0.342 0.876
O 0.139 0.735 0.932
O 0.175 0.261 0.628
O 0.261 0.175 0.128
O 0.261 0.350 0.537
O 0.265 0.861 0.568
O 0.272 0.637 0.494
O 0.275 0.336 0.728
O 0.291 0.457 0.384
O 0.336 0.275 0.228
O 0.342 0.116 0.376
O 0.350 0.261 0.037
O 0.363 0.728 0.006
O 0.398 0.517 0.294
O 0.457 0.291 0.884
O 0.483 0.602 0.206
O 0.517 0.398 0.794
O 0.543 0.709 0.116
O 0.602 0.483 0.706
O 0.637 0.272 0.994
O 0.650 0.739 0.963
O 0.658 0.884 0.624
O 0.664 0.725 0.772
O 0.709 0.543 0.616
O 0.725 0.664 0.272
O 0.728 0.363 0.506
O 0.735 0.139 0.432
O 0.739 0.650 0.463
O 0.739 0.825 0.872
O 0.825 0.739 0.372
O 0.861 0.265 0.068
O 0.884 0.658 0.124
O 0.897 0.052 0.657
O 0.948 0.103 0.843

Largest 10 diffraction maxima, most intense first, 15 to 90 degrees two-theta:
| 2theta | I/Imax |
| --- | --- |
| 20.76 | 100 |
| 15.51 | 80 |
| 29.06 | 61 |
| 30.36 | 54 |
| 25.37 | 37 |
| 19.64 | 30 |
| 36.36 | 28 |
| 25.87 | 26 |
| 23.23 | 20 |
| 33.94 | 20 |


Entry 2:
Structure and simulated powder XRD pattern of Ba2TlCo2O7 (the GGA+U geometry in the Materials Project; Cu Kα, 1.54184 Å).
Lines closer than 0.1° are merged.

Structure:
abc: 3.704 3.710 13.694
angles: 90.00 90.00 90.00
Fractional coordinates of all 12 atoms:
Ba 0.000 0.000 0.000
Ba 0.000 0.000 0.409
Tl 0.500 0.500 0.205
Co 0.500 0.500 0.584
Co 0.500 0.500 0.830
O 0.000 0.000 0.205
O 0.000 0.500 0.580
O 0.000 0.500 0.838
O 0.500 0.000 0.568
O 0.500 0.000 0.838
O 0.500 0.500 0.049
O 0.500 0.500 0.360

Largest 10 diffraction maxima, most intense first, 15 to 90 degrees two-theta:
| 2theta | I/Imax |
| --- | --- |
| 27.36 | 100 |
| 31.08 | 87 |
| 34.21 | 59 |
| 48.05 | 40 |
| 32.70 | 38 |
| 49.16 | 31 |
| 59.31 | 29 |
| 57.17 | 27 |
| 60.30 | 25 |
| 34.85 | 24 |


Entry 3:
Structure and simulated powder XRD pattern of LiFeF4 (the GGA+U geometry in the Materials Project; Cu Kα, 1.54184 Å).
Lines closer than 0.1° are merged.

Structure:
abc: 4.776 5.655 10.272
angles: 90.00 90.00 90.00
Fractional coordinates of all 24 atoms:
Li 0.000 0.000 0.000
Li 0.000 0.000 0.500
Li 0.500 0.500 0.000
Li 0.500 0.500 0.500
Fe 0.000 0.332 0.250
Fe 0.000 0.668 0.750
Fe 0.500 0.168 0.750
Fe 0.500 0.832 0.250
F 0.197 0.305 0.090
F 0.197 0.695 0.590
F 0.238 0.066 0.325
F 0.238 0.934 0.825
F 0.262 0.434 0.825
F 0.262 0.566 0.325
F 0.303 0.195 0.590
F 0.303 0.805 0.090
F 0.697 0.195 0.910
F 0.697 0.805 0.410
F 0.738 0.434 0.675
F 0.738 0.566 0.175
F 0.762 0.066 0.175
F 0.762 0.934 0.675
F 0.803 0.305 0.410
F 0.803 0.695 0.910

Largest 10 diffraction maxima, most intense first, 15 to 90 degrees two-theta:
| 2theta | I/Imax |
| --- | --- |
| 25.91 | 100 |
| 17.27 | 70 |
| 39.86 | 18 |
| 35.97 | 18 |
| 30.04 | 18 |
| 50.83 | 17 |
| 41.05 | 17 |
| 55.31 | 17 |
| 52.32 | 16 |
| 57.21 | 15 |


Entry 4:
Structure and simulated powder XRD pattern of KSrEuWO6 (the GGA+U geometry in the Materials Project; Cu Kα, 1.54184 Å).
Lines closer than 0.1° are merged.

Structure:
abc: 5.997 5.997 5.997
angles: 60.00 60.00 60.00
Fractional coordinates of all 10 atoms:
K 0.000 0.000 0.000
Sr 0.500 0.500 0.500
Eu 0.750 0.750 0.750
W 0.250 0.250 0.250
O 0.020 0.020 0.480
O 0.020 0.480 0.020
O 0.020 0.480 0.480
O 0.480 0.020 0.020
O 0.480 0.020 0.480
O 0.480 0.480 0.020

Largest 10 diffraction maxima, most intense first, 15 to 90 degrees two-theta:
| 2theta | I/Imax |
| --- | --- |
| 29.79 | 100 |
| 52.88 | 40 |
| 20.95 | 36 |
| 42.64 | 31 |
| 85.72 | 22 |
| 61.88 | 19 |
| 70.18 | 18 |
| 47.97 | 16 |
| 66.10 | 8 |
| 78.06 | 6 |


Entry 5:
Structure and simulated powder XRD pattern of MgFe2Ag2O4 (the GGA+U geometry in the Materials Project; Cu Kα, 1.54184 Å).
Lines closer than 0.1° are merged.

Structure:
abc: 3.079 3.079 14.297
angles: 90.00 90.00 120.00
Fractional coordinates of all 9 atoms:
Mg 0.000 0.000 0.000
Fe 0.667 0.333 0.386
Fe 0.667 0.333 0.820
Ag 0.000 0.000 0.606
Ag 0.333 0.667 0.159
O 0.000 0.000 0.460
O 0.000 0.000 0.757
O 0.333 0.667 0.316
O 0.333 0.667 0.920

Largest 10 diffraction maxima, most intense first, 15 to 90 degrees two-theta:
| 2theta | I/Imax |
| --- | --- |
| 34.20 | 100 |
| 35.94 | 94 |
| 38.69 | 54 |
| 60.09 | 38 |
| 24.91 | 35 |
| 31.28 | 33 |
| 46.57 | 31 |
| 56.77 | 31 |
| 51.43 | 23 |
| 42.28 | 21 |


Entry 6:
Structure and simulated powder XRD pattern of Li5Ni8O16 (the GGA+U geometry in the Materials Project; Cu Kα, 1.54184 Å).
Lines closer than 0.1° are merged.

Structure:
abc: 6.499 7.603 12.381
angles: 91.75 99.84 114.32
Fractional coordinates of all 58 atoms:
Li 0.000 0.000 0.000
Li 0.045 0.416 0.951
Li 0.182 0.124 0.810
Li 0.247 0.505 0.742
Li 0.309 0.885 0.689
Li 0.496 0.016 0.503
Li 0.551 0.385 0.449
Li 0.614 0.765 0.381
Li 0.754 0.482 0.242
Li 0.806 0.900 0.188
Ni 0.032 0.702 0.473
Ni 0.085 0.064 0.409
Ni 0.147 0.443 0.345
Ni 0.221 0.827 0.287
Ni 0.274 0.197 0.221
Ni 0.335 0.570 0.158
Ni 0.401 0.949 0.098
Ni 0.463 0.330 0.032
Ni 0.526 0.698 0.970
Ni 0.584 0.069 0.910
Ni 0.656 0.450 0.847
Ni 0.715 0.823 0.785
Ni 0.768 0.193 0.721
Ni 0.837 0.574 0.659
Ni 0.897 0.946 0.595
Ni 0.965 0.321 0.532
O 0.009 0.155 0.278
O 0.036 0.219 0.667
O 0.082 0.557 0.220
O 0.104 0.609 0.608
O 0.134 0.933 0.159
O 0.174 0.959 0.537
O 0.199 0.315 0.079
O 0.218 0.326 0.471
O 0.266 0.669 0.028
O 0.298 0.732 0.419
O 0.318 0.078 0.963
O 0.353 0.089 0.364
O 0.388 0.438 0.902
O 0.413 0.463 0.287
O 0.448 0.786 0.837
O 0.491 0.821 0.228
O 0.500 0.158 0.780
O 0.535 0.235 0.161
O 0.584 0.562 0.720
O 0.596 0.593 0.102
O 0.624 0.932 0.658
O 0.665 0.956 0.034
O 0.700 0.297 0.582
O 0.724 0.349 0.976
O 0.764 0.677 0.520
O 0.792 0.733 0.917
O 0.819 0.035 0.464
O 0.855 0.080 0.855
O 0.890 0.444 0.405
O 0.916 0.448 0.791
O 0.940 0.802 0.346
O 0.977 0.855 0.727

Largest 10 diffraction maxima, most intense first, 15 to 90 degrees two-theta:
| 2theta | I/Imax |
| --- | --- |
| 18.24 | 100 |
| 44.68 | 35 |
| 37.24 | 22 |
| 43.73 | 18 |
| 36.52 | 12 |
| 38.68 | 8 |
| 48.37 | 7 |
| 82.94 | 6 |
| 36.96 | 5 |
| 57.24 | 5 |


Entry 7:
Structure and simulated powder XRD pattern of Na2CoP2O7 (the GGA+U geometry in the Materials Project; Cu Kα, 1.54184 Å).
Lines closer than 0.1° are merged.

Structure:
abc: 8.026 8.269 11.513
angles: 73.76 70.82 66.43
Fractional coordinates of all 48 atoms:
Na 0.084 0.300 0.455
Na 0.225 0.800 0.315
Na 0.275 0.200 0.185
Na 0.415 0.700 0.045
Na 0.585 0.300 0.955
Na 0.725 0.800 0.815
Na 0.775 0.200 0.685
Na 0.916 0.700 0.545
Co 0.000 0.000 0.000
Co 0.000 0.500 0.000
Co 0.500 0.000 0.500
Co 0.500 0.500 0.500
P 0.012 0.345 0.777
P 0.171 0.845 0.617
P 0.329 0.155 0.883
P 0.488 0.655 0.723
P 0.512 0.345 0.277
P 0.671 0.845 0.117
P 0.829 0.155 0.383
P 0.988 0.655 0.223
O 0.020 0.603 0.353
O 0.039 0.103 0.334
O 0.050 0.494 0.158
O 0.081 0.796 0.139
O 0.237 0.008 0.555
O 0.238 0.250 0.762
O 0.248 0.294 0.971
O 0.252 0.706 0.528
O 0.262 0.750 0.738
O 0.263 0.993 0.945
O 0.419 0.205 0.361
O 0.451 0.507 0.341
O 0.461 0.897 0.166
O 0.480 0.397 0.147
O 0.520 0.603 0.853
O 0.539 0.103 0.834
O 0.549 0.493 0.659
O 0.581 0.795 0.639
O 0.737 0.007 0.055
O 0.738 0.250 0.262
O 0.748 0.294 0.472
O 0.752 0.706 0.029
O 0.762 0.750 0.238
O 0.763 0.992 0.445
O 0.919 0.204 0.861
O 0.950 0.506 0.842
O 0.961 0.897 0.666
O 0.980 0.397 0.647

Largest 10 diffraction maxima, most intense first, 15 to 90 degrees two-theta:
| 2theta | I/Imax |
| --- | --- |
| 28.12 | 100 |
| 18.67 | 82 |
| 26.68 | 81 |
| 31.99 | 36 |
| 33.75 | 34 |
| 24.98 | 33 |
| 40.88 | 31 |
| 31.27 | 22 |
| 23.72 | 21 |
| 51.26 | 20 |


Entry 8:
Structure and simulated powder XRD pattern of Li12Cr3NiP4C4O28 (the GGA+U geometry in the Materials Project; Cu Kα, 1.54184 Å).
Lines closer than 0.1° are merged.

Structure:
abc: 8.619 6.463 9.995
angles: 90.00 94.59 90.00
Fractional coordinates of all 52 atoms:
Li 0.000 0.000 0.000
Li 0.001 0.000 0.501
Li 0.169 0.227 0.755
Li 0.169 0.773 0.755
Li 0.170 0.225 0.260
Li 0.170 0.775 0.260
Li 0.623 0.271 0.513
Li 0.623 0.273 0.013
Li 0.623 0.727 0.013
Li 0.623 0.729 0.513
Li 0.790 0.500 0.767
Li 0.799 0.500 0.272
Cr 0.229 0.500 0.991
Cr 0.560 0.000 0.777
Cr 0.562 0.000 0.281
Ni 0.229 0.500 0.486
P 0.307 0.000 0.024
P 0.307 0.000 0.524
P 0.479 0.500 0.742
P 0.485 0.500 0.248
C 0.864 0.000 0.237
C 0.864 0.000 0.736
C 0.926 0.500 0.032
C 0.939 0.500 0.534
O 0.005 0.000 0.198
O 0.005 0.000 0.700
O 0.045 0.500 0.123
O 0.055 0.500 0.627
O 0.208 0.187 0.968
O 0.208 0.188 0.468
O 0.208 0.812 0.468
O 0.208 0.813 0.968
O 0.316 0.000 0.180
O 0.316 0.000 0.680
O 0.317 0.500 0.295
O 0.317 0.500 0.796
O 0.460 0.500 0.585
O 0.474 0.000 0.977
O 0.475 0.000 0.478
O 0.475 0.500 0.093
O 0.583 0.314 0.794
O 0.583 0.686 0.794
O 0.585 0.313 0.304
O 0.585 0.687 0.304
O 0.745 0.000 0.146
O 0.746 0.000 0.645
O 0.785 0.500 0.071
O 0.796 0.500 0.566
O 0.836 0.000 0.861
O 0.839 0.000 0.362
O 0.951 0.500 0.907
O 0.974 0.500 0.410

Largest 10 diffraction maxima, most intense first, 15 to 90 degrees two-theta:
| 2theta | I/Imax |
| --- | --- |
| 27.61 | 100 |
| 21.32 | 51 |
| 19.87 | 36 |
| 26.29 | 32 |
| 40.07 | 30 |
| 36.76 | 29 |
| 25.43 | 25 |
| 17.17 | 20 |
| 31.23 | 19 |
| 36.06 | 17 |